Diffraction record for Ca3U3InAs8. The powder diffractogram is calculated, not measured: it uses a crystal structure in Alexandria, relaxed with GGA-PBE and a wavelength of 1.5418 Å.

Cell and atoms:
abc: 8.154 8.174 8.372
angles: 60.84 90.00 60.09
Space group P-1 (No. 2)
Asymmetric unit:
Ca (0.000, 0.000, 0.000)
Ca (0.000, 0.500, 0.000)
Ca (0.500, 0.000, 0.000)
U (0.000, 0.000, 0.500)
U (0.500, 0.000, 0.500)
U (0.500, 0.500, 0.500)
In (0.000, 0.500, 0.500)
As (0.255, 0.518, 0.735)
As (0.255, 0.992, 0.736)
As (0.256, 0.988, 0.267)
As (0.272, 0.481, 0.266)

Most intense lines, 2θ = 5–70°, low angle first:
2theta, Rel. int., hkl
12.8, 83.1, 0 0 1
25.5, 41.4, 2 2 1
30.5, 50.5, 0 2 0
30.6, 100.0, 2 2 2
43.2, 57.1, 2 0 2
44.3, 35.8, 2 4 2
44.4, 17.8, 4 2 0
54.8, 28.2, 4 4 0

Diffraction record for ZrAs2Se. The powder diffractogram is calculated, not measured: it uses a crystal structure in Alexandria, relaxed with GGA-PBE and a wavelength of 1.5418 Å.

Cell and atoms:
abc: 3.673 3.670 7.517
angles: 90.00 95.40 90.00
Space group Pm (No. 6)
Asymmetric unit:
Zr (0.000, 0.000, 0.000)
As (0.442, 0.000, 0.699)
As (0.942, 0.500, 0.701)
Se (0.528, 0.500, 0.148)

Most intense lines, 2θ = 5–70°, low angle first:
2theta, Rel. int., hkl
11.8, 100.0, 0 0 1
23.8, 38.9, 0 0 2
34.2, 18.7, 0 1 2
35.9, 78.5, 1 1 -1
37.5, 66.4, 1 1 1
41.0, 33.0, 1 1 -2
43.9, 25.6, 0 1 3
49.7, 17.8, 0 2 0

Diffraction record for CsTbNb6Br18. The powder diffractogram is calculated, not measured: it uses a crystal structure in Alexandria, relaxed with GGA-PBE and a wavelength of 1.5418 Å.

Cell and atoms:
abc: 9.9533 9.9533 18.4980
angles: 90.00 90.00 120.00
Space group P-31c (No. 163)
Asymmetric unit:
Cs (0.3333, 0.6667, 0.2500)
Tb (0.3333, 0.6667, 0.7500)
Nb (0.0385, 0.1877, 0.9348)
Br (0.0462, 0.2309, 0.1597)
Br (0.0854, 0.4470, 0.8383)
Br (0.1384, 0.4144, 0.4993)

Most intense lines, 2θ = 5–70°, low angle first:
2theta, Rel. int., hkl
10.3, 73.2, 1 0 0
14.0, 69.7, 1 0 2
29.0, 55.3, 0 0 6
31.0, 85.1, 2 1 3
33.7, 100.0, 2 1 4
34.2, 40.4, 2 -1 6
36.8, 40.8, 2 1 5
48.7, 38.3, 5 -1 1

Diffraction record for Pa2InRh3. The powder diffractogram is calculated, not measured: it uses a crystal structure in Alexandria, relaxed with GGA-PBE and a wavelength of 1.5418 Å.

Cell and atoms:
abc: 12.906 12.906 12.906
angles: 90.00 90.00 90.00
Space group Fd-3m (No. 227, origin choice 2)
Asymmetric unit:
Pa (0.022, 0.022, 0.228)
In (0.000, 0.000, 0.500)
Rh (0.124, 0.375, 0.375)

Most intense lines, 2θ = 5–70°, low angle first:
2theta, Rel. int., hkl
22.9, 12.4, 3 1 1
23.9, 33.6, 2 2 2
30.2, 27.0, 3 3 1
36.2, 20.8, 3 3 3
39.5, 100.0, 4 4 0
50.5, 14.7, 7 1 1
54.6, 17.3, 7 3 1
58.5, 13.3, 7 3 3

Question: Number 1 is which compound?
Answer: Ca3U3InAs8

Copy entry 3 word for word.
Diffraction record for CsTbNb6Br18. The powder diffractogram is calculated, not measured: it uses a crystal structure in Alexandria, relaxed with GGA-PBE and a wavelength of 1.5418 Å.

Cell and atoms:
abc: 9.9533 9.9533 18.4980
angles: 90.00 90.00 120.00
Space group P-31c (No. 163)
Asymmetric unit:
Cs (0.3333, 0.6667, 0.2500)
Tb (0.3333, 0.6667, 0.7500)
Nb (0.0385, 0.1877, 0.9348)
Br (0.0462, 0.2309, 0.1597)
Br (0.0854, 0.4470, 0.8383)
Br (0.1384, 0.4144, 0.4993)

Most intense lines, 2θ = 5–70°, low angle first:
2theta, Rel. int., hkl
10.3, 73.2, 1 0 0
14.0, 69.7, 1 0 2
29.0, 55.3, 0 0 6
31.0, 85.1, 2 1 3
33.7, 100.0, 2 1 4
34.2, 40.4, 2 -1 6
36.8, 40.8, 2 1 5
48.7, 38.3, 5 -1 1